The following is a calculated powder X-ray diffraction pattern of Li2Ta3Au. It was derived from a crystal structure in OQMD, relaxed with PBE, using Cu Kα (λ = 1.5418 Å).
Kinematic intensities with the Lorentz-polarization factor, no thermal factor.

a = 3.7933 Å, b = 3.7933 Å, c = 6.7033 Å
α = 90.00°, β = 90.00°, γ = 90.00°
Space group P-4m2 (No. 115)
One atom of each set of equivalent atoms:
Li 0.0000 0.5000 0.2399
Ta 0.0000 0.5000 0.8639
Ta 0.5000 0.5000 0.5000
Au 0.0000 0.0000 0.5000

Largest 10 diffraction maxima, by intensity, 2θ from 10° to 90°:
| 2θ (°) | I_rel | h k l |
| --- | --- | --- |
| 36.07 | 100 | 1 1 1 |
| 27.01 | 38 | 1 0 1 |
| 35.75 | 34 | 1 0 2 |
| 47.97 | 33 | 2 0 0 |
| 43.20 | 31 | 1 1 2 |
| 65.70 | 24 | 1 1 4 |
| 64.44 | 23 | 2 0 3 |
| 40.37 | 23 | 0 0 3 |
| 81.52 | 20 | 3 1 1 |
| 26.60 | 15 | 0 0 2 |


The following is a calculated powder X-ray diffraction pattern of FeSi16Ge12P3. It was derived from a crystal structure in OQMD, relaxed with PBE, using Cu Kα (λ = 1.5418 Å).
Kinematic intensities with the Lorentz-polarization factor, no thermal factor.

a = 6.7305 Å, b = 10.3517 Å, c = 10.4294 Å
α = 81.70°, β = 71.45°, γ = 84.22°
Space group P1 (No. 1)
One atom of each set of equivalent atoms:
Fe 0.0000 0.0000 0.0000
Si 0.1028 0.1942 0.0105
Si 0.1131 0.0770 0.3950
Si 0.1162 0.5876 0.8913
Si 0.1201 0.4525 0.2653
Si 0.4924 0.5645 0.8094
Si 0.4928 0.6777 0.4333
Si 0.4936 0.4388 0.1860
Si 0.4984 0.9385 0.6876
Si 0.5021 0.3123 0.5588
Si 0.6118 0.3967 0.9521
Si 0.6202 0.2721 0.3284
Si 0.6214 0.1419 0.6991
Si 0.6206 0.5143 0.5779
Si 0.9915 0.1232 0.6216
Si 0.9954 0.6189 0.1265
Si 0.9970 0.5005 0.4927
Ge 0.0044 0.8670 0.3734
Ge 0.1071 0.8292 0.1335
Ge 0.1184 0.9631 0.7769
Ge 0.1213 0.3288 0.6372
Ge 0.4834 0.1893 0.9354
Ge 0.4892 0.0681 0.3131
Ge 0.4968 0.8119 0.0695
Ge 0.6148 0.8856 0.4558
Ge 0.6301 0.7651 0.8288
Ge 0.6431 0.0224 0.0748
Ge 0.9914 0.3809 0.8762
Ge 0.9984 0.2462 0.2439
P 0.0046 0.7560 0.7566
P 0.1320 0.6903 0.5088
P 0.6277 0.6321 0.2048

Largest 10 diffraction maxima, by intensity, 2θ from 10° to 90°:
| 2θ (°) | I_rel | h k l |
| --- | --- | --- |
| 28.03 | 100 | 1 3 1 |
| 27.90 | 51 | 1 -2 2 |
| 27.61 | 51 | 0 1 3 |
| 54.84 | 28 | 0 4 -4 |
| 46.03 | 24 | -2 1 3 |
| 46.10 | 24 | 1 -1 5 |
| 46.21 | 24 | 1 4 4 |
| 46.81 | 24 | 3 3 1 |
| 46.42 | 23 | 0 5 -1 |
| 46.54 | 23 | 3 -2 2 |


The following is a calculated powder X-ray diffraction pattern of ZnFe. It was derived from a crystal structure in OQMD, relaxed with PBE, using Cu Kα (λ = 1.5418 Å).
Kinematic intensities with the Lorentz-polarization factor, no thermal factor.

a = 4.2353 Å, b = 13.4849 Å, c = 4.3593 Å
α = 90.00°, β = 90.00°, γ = 90.00°
Space group Amm2 (No. 38)
One atom of each set of equivalent atoms:
Zn 0.0000 0.0000 0.0000
Zn 0.0000 0.1022 0.5122
Zn 0.5000 0.1022 0.1349
Fe 0.0000 0.2070 0.0075
Fe 0.5000 0.0000 0.6388
Fe 0.5000 0.2037 0.6338

Largest 10 diffraction maxima, by intensity, 2θ from 10° to 90°:
| 2θ (°) | I_rel | h k l |
| --- | --- | --- |
| 44.95 | 100 | 1 5 1 |
| 42.70 | 35 | 2 0 0 |
| 46.88 | 27 | 1 0 2 |
| 41.43 | 19 | 0 0 2 |
| 79.77 | 16 | 3 5 1 |
| 39.28 | 13 | 0 5 1 |
| 89.51 | 12 | 2 5 3 |
| 61.00 | 11 | 2 0 2 |
| 74.12 | 10 | 0 5 3 |
| 85.34 | 8 | 2 10 0 |


The following is a calculated powder X-ray diffraction pattern of Hf2ZrSi4Ni4. It was derived from a crystal structure in OQMD, relaxed with PBE, using Cu Kα (λ = 1.5418 Å).
Kinematic intensities with the Lorentz-polarization factor, no thermal factor.

a = 3.8516 Å, b = 6.3809 Å, c = 12.6790 Å
α = 90.00°, β = 90.00°, γ = 90.00°
Space group Immm (No. 71)
One atom of each set of equivalent atoms:
Hf 0.0000 0.0000 0.1265
Zr 0.0000 0.5000 0.0000
Si 0.0000 0.3069 0.5000
Si 0.0000 0.5000 0.2145
Ni 0.0000 0.1991 0.3241

Largest 10 diffraction maxima, by intensity, 2θ from 10° to 90°:
| 2θ (°) | I_rel | h k l |
| --- | --- | --- |
| 37.28 | 100 | 1 2 1 |
| 39.43 | 98 | 1 1 4 |
| 42.56 | 38 | 1 2 3 |
| 47.19 | 35 | 2 0 0 |
| 38.19 | 35 | 0 1 5 |
| 47.88 | 33 | 0 3 3 |
| 27.04 | 33 | 1 1 0 |
| 15.55 | 26 | 0 1 1 |
| 25.28 | 25 | 0 1 3 |
| 69.50 | 21 | 2 3 3 |


Number 4 is which compound?
Hf2ZrSi4Ni4